No. 1
# NaAg4F7
Calculated PXRD pattern, Cu Kα (weighted mean of Kα1 and Kα2). Input: a GGA-PBE-relaxed structure.

Atomic structure:
abc: 3.4580 5.7744 9.7900
angles: 105.64 94.89 96.83
Element x y z (fractional)
Na 0.0000 0.0000 0.0000
Ag 0.0411 0.7510 0.5940
Ag 0.4304 0.3628 0.7606
Ag 0.5356 0.1255 0.3552
Ag 0.7637 0.5529 0.1695
F 0.0765 0.6807 0.8047
F 0.0945 0.2941 0.2287
F 0.3640 0.4329 0.5378
F 0.4876 0.8412 0.1179
F 0.5427 0.2712 0.9677
F 0.7401 0.0576 0.6688
F 0.9650 0.8079 0.3826

The 10 most intense peaks (2θ from 10° to 80°), by intensity:
| two_theta | intensity |
| --- | --- |
| 28.66 | 100 |
| 28.33 | 62 |
| 31.98 | 56 |
| 31.20 | 38 |
| 36.56 | 28 |
| 18.97 | 26 |
| 41.62 | 20 |
| 32.90 | 19 |
| 34.41 | 18 |
| 53.59 | 17 |

No. 2
# Pm3SmDy3S8
Calculated PXRD pattern, Cu Kα (weighted mean of Kα1 and Kα2). Input: a GGA-PBE-relaxed structure.

Atomic structure:
abc: 7.9519 7.9519 7.9519
angles: 59.66 59.66 59.66
Element x y z (fractional)
Pm 0.0000 0.5000 0.5000
Pm 0.5000 0.0000 0.5000
Pm 0.5000 0.5000 0.0000
Sm 0.5000 0.5000 0.5000
Dy 0.0000 0.0000 0.5000
Dy 0.0000 0.5000 0.0000
Dy 0.5000 0.0000 0.0000
S 0.2401 0.7521 0.7521
S 0.2462 0.2462 0.2462
S 0.2479 0.2479 0.7599
S 0.2479 0.7599 0.2479
S 0.7521 0.2401 0.7521
S 0.7521 0.7521 0.2401
S 0.7538 0.7538 0.7538
S 0.7599 0.2479 0.2479

The 10 most intense peaks (2θ from 10° to 80°), by intensity:
| two_theta | intensity |
| --- | --- |
| 31.92 | 100 |
| 27.60 | 51 |
| 45.64 | 36 |
| 45.89 | 36 |
| 56.98 | 19 |
| 27.40 | 17 |
| 54.28 | 17 |
| 75.68 | 16 |
| 76.05 | 16 |
| 13.66 | 13 |

No. 3
# Cs2SrPbF6
Calculated PXRD pattern, Cu Kα (weighted mean of Kα1 and Kα2). Input: a GGA-PBE-relaxed structure.

Atomic structure:
abc: 4.8628 4.8628 9.7267
angles: 90.00 90.00 90.00
Element x y z (fractional)
Cs 0.0000 0.0000 0.2491
Cs 0.0000 0.0000 0.7509
Sr 0.5000 0.5000 0.0000
Pb 0.5000 0.5000 0.5000
F 0.0000 0.5000 0.0000
F 0.0000 0.5000 0.5000
F 0.5000 0.0000 0.0000
F 0.5000 0.0000 0.5000
F 0.5000 0.5000 0.2475
F 0.5000 0.5000 0.7525

The 10 most intense peaks (2θ from 10° to 80°), by intensity:
| two_theta | intensity |
| --- | --- |
| 25.91 | 100 |
| 45.70 | 44 |
| 36.97 | 34 |
| 72.76 | 23 |
| 53.28 | 23 |
| 60.17 | 20 |
| 66.62 | 8 |
| 20.42 | 6 |
| 27.51 | 4 |
| 78.71 | 4 |

No. 4
# CaZr2Al
Calculated PXRD pattern, Cu Kα (weighted mean of Kα1 and Kα2). Input: a GGA-PBE-relaxed structure.

Atomic structure:
abc: 3.3091 3.8637 7.7299
angles: 90.00 90.00 90.00
Element x y z (fractional)
Ca 0.0000 0.0000 0.0000
Zr 0.0000 0.0000 0.5490
Zr 0.5000 0.5000 0.3286
Al 0.5000 0.5000 0.7378

The 10 most intense peaks (2θ from 10° to 80°), by intensity:
| two_theta | intensity |
| --- | --- |
| 35.72 | 100 |
| 11.45 | 58 |
| 32.77 | 58 |
| 60.43 | 29 |
| 47.03 | 18 |
| 66.01 | 14 |
| 25.78 | 14 |
| 37.63 | 13 |
| 42.15 | 11 |
| 29.36 | 10 |

No. 5
# Ca2DyCuO4
Calculated PXRD pattern, Cu Kα (weighted mean of Kα1 and Kα2). Input: a GGA-PBE-relaxed structure.

Atomic structure:
abc: 5.7488 3.3930 5.8651
angles: 90.00 110.05 90.00
Element x y z (fractional)
Ca 0.0000 0.0000 0.0000
Ca 0.5000 0.5000 0.0000
Dy 0.0000 0.5000 0.5000
Cu 0.5000 0.0000 0.5000
O 0.2303 0.0000 0.7473
O 0.2386 0.5000 0.2513
O 0.7614 0.5000 0.7487
O 0.7697 0.0000 0.2527

The 10 most intense peaks (2θ from 10° to 80°), by intensity:
| two_theta | intensity |
| --- | --- |
| 37.85 | 100 |
| 32.44 | 65 |
| 16.09 | 38 |
| 54.11 | 33 |
| 33.18 | 21 |
| 55.04 | 20 |
| 16.41 | 18 |
| 31.13 | 16 |
| 64.91 | 12 |
| 18.65 | 11 |

No. 6
# GdTa3O9
Calculated PXRD pattern, Cu Kα (weighted mean of Kα1 and Kα2). Input: a GGA-PBE-relaxed structure.

Atomic structure:
abc: 6.5039 7.6752 12.6336
angles: 90.00 90.00 90.00
Element x y z (fractional)
Gd 0.0568 0.2500 0.0331
Gd 0.4432 0.7500 0.5331
Gd 0.5568 0.2500 0.4669
Gd 0.9432 0.7500 0.9669
Ta 0.0000 0.0000 0.5000
Ta 0.0000 0.5000 0.5000
Ta 0.2041 0.0023 0.7870
Ta 0.2041 0.4977 0.7870
Ta 0.2959 0.5023 0.2870
Ta 0.2959 0.9977 0.2870
Ta 0.5000 0.0000 0.0000
Ta 0.5000 0.5000 0.0000
Ta 0.7041 0.0023 0.7130
Ta 0.7041 0.4977 0.7130
Ta 0.7959 0.5023 0.2130
Ta 0.7959 0.9977 0.2130
O 0.0157 0.0409 0.6569
O 0.0157 0.4591 0.6569
O 0.0703 0.7500 0.5251
O 0.1043 0.0341 0.1684
O 0.1043 0.4659 0.1684
O 0.1665 0.2500 0.8272
O 0.2011 0.7500 0.8059
O 0.2063 0.5299 0.9629
O 0.2063 0.9701 0.9629
O 0.2937 0.0299 0.4629
O 0.2937 0.4701 0.4629
O 0.2989 0.2500 0.3059
O 0.3335 0.7500 0.3272
O 0.3957 0.5341 0.6684
O 0.3957 0.9659 0.6684
O 0.4297 0.2500 0.0251
O 0.4843 0.5409 0.1569
O 0.4843 0.9591 0.1569
O 0.5157 0.0409 0.8431
O 0.5157 0.4591 0.8431
O 0.5703 0.7500 0.9749
O 0.6043 0.0341 0.3316
O 0.6043 0.4659 0.3316
O 0.6665 0.2500 0.6728
O 0.7011 0.7500 0.6941
O 0.7063 0.5299 0.5371
O 0.7063 0.9701 0.5371
O 0.7937 0.0299 0.0371
O 0.7937 0.4701 0.0371
O 0.7989 0.2500 0.1941
O 0.8335 0.7500 0.1728
O 0.8957 0.5341 0.8316
O 0.8957 0.9659 0.8316
O 0.9297 0.2500 0.4749
O 0.9843 0.5409 0.3431
O 0.9843 0.9591 0.3431

The 10 most intense peaks (2θ from 10° to 80°), by intensity:
| two_theta | intensity |
| --- | --- |
| 30.93 | 100 |
| 27.90 | 73 |
| 28.27 | 65 |
| 23.18 | 65 |
| 34.50 | 55 |
| 57.66 | 37 |
| 27.19 | 37 |
| 47.38 | 36 |
| 31.49 | 30 |
| 36.88 | 30 |